No. 1
Theoretical powder diffraction line list
Compound: Y4Te2Br
Radiation: λ = 1.5418 Å (Cu Kα)
Structure: the GGA-PBE geometry in Alexandria
Peak positions follow from Bragg's law for the DFT cell and can differ from measured ones.

Lattice parameters (Å, degrees): 5.329 5.329 15.317 90.00 90.00 90.00
Space group I4/mmm (No. 139)
One atom of each set of equivalent atoms:
Y: 0.000 0.000 0.184 [4 per cell]
Y: 0.000 0.500 0.000 [4 per cell]
Te: 0.000 0.000 0.379 [4 per cell]
Br: 0.000 0.000 0.000 [2 per cell]

Principal peaks in the range 2θ from 15° to 90°, in order of rising 2θ:
hkl 1 1 0, 23.61 deg, rel. 57
hkl 1 1 2, 26.36 deg, rel. 36
hkl 1 1 4, 33.36 deg, rel. 55
hkl 2 0 0, 33.64 deg, rel. 100
hkl 1 0 5, 33.75 deg, rel. 79
hkl 2 2 0, 48.36 deg, rel. 91
hkl 2 0 6, 49.45 deg, rel. 19
hkl 3 1 4, 59.98 deg, rel. 20
hkl 4 0 0, 70.76 deg, rel. 29
hkl 4 2 0, 80.66 deg, rel. 28

=====

No. 2
Theoretical powder diffraction line list
Compound: Li6TlPd2
Radiation: λ = 1.5418 Å (Cu Kα)
Structure: the GGA-PBE geometry in Alexandria
Peak positions follow from Bragg's law for the DFT cell and can differ from measured ones.

Lattice parameters (Å, degrees): 7.076 7.637 5.211 90.00 96.26 90.00
Space group C2/m (No. 12)
One atom of each set of equivalent atoms:
Li: 0.000 0.174 0.000 [4 per cell]
Li: 0.163 0.337 0.674 [8 per cell]
Tl: 0.000 0.000 0.500 [2 per cell]
Pd: 0.165 0.500 0.165 [4 per cell]

Principal peaks in the range 2θ from 15° to 90°, in order of rising 2θ:
hkl 1 1 0, 17.13 deg, rel. 9
hkl 0 2 0, 23.30 deg, rel. 100
hkl 2 0 1, 32.29 deg, rel. 13
hkl 3 1 0, 40.20 deg, rel. 56
hkl 2 0 -2, 40.95 deg, rel. 28
hkl 0 4 0, 47.64 deg, rel. 15
hkl 3 3 0, 53.07 deg, rel. 17
hkl 2 4 1, 58.70 deg, rel. 12
hkl 3 1 -3, 64.59 deg, rel. 12
hkl 3 5 0, 74.06 deg, rel. 15